Diffraction record for Li4Co3NiO8. The X-ray powder pattern is computed, not measured: it uses a structure optimized by DFT (PBE+U) and a wavelength of 1.5418 Å.
Kinematic intensities with the Lorentz-polarization factor, no thermal factor.

Main lines, low angle first (5° ≤ 2θ ≤ 70°):
2θ/deg  I/Imax  index
18.5  100  0 1 -1
36.0  15  0 1 3
36.3  14  -2 1 1
36.6  13  2 1 1
37.9  10  0 2 2
43.6  25  0 0 4
44.0  24  2 -2 0
44.4  23  2 2 0
48.1  9  2 -1 3
63.7  13  -2 2 4

Lattice parameters (Å, degrees): 5.767 5.829 8.311 90.49 90.18 90.55
Positions (direct):
1 Li 0.000 0.000 0.000
2 Li 0.000 0.495 0.496
3 Li 0.246 0.245 0.248
4 Li 0.246 0.748 0.754
5 Li 0.495 0.494 0.494
6 Li 0.498 0.000 0.998
7 Li 0.748 0.746 0.751
8 Li 0.752 0.244 0.247
9 Co 0.007 0.001 0.498
10 Co 0.250 0.745 0.244
11 Co 0.495 0.494 0.003
12 Co 0.506 0.000 0.496
13 Co 0.747 0.245 0.754
14 Co 0.995 0.496 0.003
15 Ni 0.245 0.245 0.750
16 Ni 0.751 0.747 0.249
17 O 0.004 0.519 0.236
18 O 0.014 0.978 0.249
19 O 0.240 0.236 0.499
20 O 0.248 0.721 0.010
21 O 0.250 0.279 0.001
22 O 0.260 0.758 0.482
23 O 0.487 0.513 0.230
24 O 0.499 0.971 0.246
25 O 0.506 0.012 0.745
26 O 0.507 0.484 0.776
27 O 0.737 0.235 0.496
28 O 0.743 0.274 0.006
29 O 0.743 0.715 0.008
30 O 0.760 0.755 0.487
31 O 0.982 0.007 0.745
32 O 0.984 0.477 0.770